This entry pairs a crystal structure of AcCo with its simulated powder XRD pattern. Radiation: CuKα. Structure: a DFT-relaxed cell (PBE, OQMD).

Main lines, by intensity (2θ = 10–90°):
- d 2.893, 2θ = 30.9°, I 100
- d 2.046, 2θ = 44.3°, I 75
- d 3.341, 2θ = 26.7°, I 59
- d 1.294, 2θ = 73.1°, I 34
- d 1.745, 2θ = 52.4°, I 30
- d 1.670, 2θ = 55.0°, I 27
- d 1.181, 2θ = 81.5°, I 26
- d 1.328, 2θ = 71.0°, I 13
- d 1.447, 2θ = 64.4°, I 12
- d 1.114, 2θ = 87.6°, I 11

Atomic structure:
Cell: 5.7867 5.7867 5.7867 Å, 90.00 90.00 90.00°
Positions (direct):
1 Ac 0.0000 0.0000 0.0000
2 Ac 0.0000 0.5000 0.5000
3 Ac 0.5000 0.0000 0.5000
4 Ac 0.5000 0.5000 0.0000
5 Co 0.0000 0.0000 0.5000
6 Co 0.0000 0.5000 0.0000
7 Co 0.5000 0.0000 0.0000
8 Co 0.5000 0.5000 0.5000